Record 1
Structure and calculated powder diffraction line list of Zn2CdAs2O8 (a DFT-relaxed cell (GGA-PBE, OQMD); Cu Kα (weighted mean of Kα1 and Kα2)).

Cell and atoms:
Unit cell a=5.243 b=5.353 c=6.650 alpha=70.64 beta=84.10 gamma=66.51
Space group P-1 (No. 2)
Unique sites:
Zn 0.223 0.278 0.175 (multiplicity 2)
Cd 0.500 0.500 0.500 (multiplicity 1)
As 0.147 0.111 0.732 (multiplicity 2)
O 0.120 0.345 0.869 (multiplicity 2)
O 0.171 0.901 0.293 (multiplicity 2)
O 0.251 0.266 0.486 (multiplicity 2)
O 0.379 0.770 0.848 (multiplicity 2)

Main lines, low angle first (2θ = 10–90°):
hkl 0 0 1, 2θ = 14.12°, I = 163
hkl 1 1 -1, 2θ = 28.18°, I = 783
hkl 0 1 2, 2θ = 28.83°, I = 1000
hkl 1 -1 0, 2θ = 31.53°, I = 877
hkl 1 2 1, 2θ = 33.84°, I = 556
hkl 2 1 0, 2θ = 34.71°, I = 791
hkl 2 1 1, 2θ = 35.70°, I = 268
hkl 0 2 -1, 2θ = 45.71°, I = 256
hkl 2 0 -2, 2θ = 46.84°, I = 199
hkl 0 3 1, 2θ = 56.39°, I = 202



Record 2
Structure and calculated powder diffraction line list of Cd2AsP3Pb2 (a DFT-relaxed cell (GGA-PBE, OQMD); Cu Kα (weighted mean of Kα1 and Kα2)).

Cell and atoms:
Unit cell a=13.578 b=6.104 c=6.123 alpha=90.00 beta=116.62 gamma=90.00
Space group C2 (No. 5)
Unique sites:
Cd 0.129 0.000 0.371 (multiplicity 4)
As 0.000 0.245 0.500 (multiplicity 2)
P 0.000 0.767 0.000 (multiplicity 2)
P 0.250 0.259 0.256 (multiplicity 4)
Pb 0.126 0.512 0.880 (multiplicity 4)

Main lines, low angle first (2θ = 10–90°):
hkl 2 0 -1, 2θ = 16.24°, I = 91
hkl 1 1 1, 2θ = 25.29°, I = 1000
hkl 0 2 0, 2θ = 29.21°, I = 173
hkl 2 0 2, 2θ = 41.81°, I = 295
hkl 4 2 0, 2θ = 41.99°, I = 291
hkl 5 1 -3, 2θ = 49.42°, I = 162
hkl 3 3 -1, 2θ = 49.54°, I = 160
hkl 7 1 -1, 2θ = 49.76°, I = 159
hkl 5 3 1, 2θ = 67.00°, I = 96
hkl 2 4 2, 2θ = 76.47°, I = 97



Record 3
Structure and calculated powder diffraction line list of CdAsPPb2 (a DFT-relaxed cell (GGA-PBE, OQMD); Cu Kα (weighted mean of Kα1 and Kα2)).

Cell and atoms:
Unit cell a=4.390 b=16.400 c=7.538 alpha=90.00 beta=90.00 gamma=90.00
Space group Cmc2_1 (No. 36)
Unique sites:
Cd 0.000 0.103 0.000 (multiplicity 4)
As 0.000 0.059 0.356 (multiplicity 4)
P 0.000 0.313 0.412 (multiplicity 4)
Pb 0.000 0.303 0.798 (multiplicity 4)
Pb 0.000 0.454 0.174 (multiplicity 4)

Main lines, low angle first (2θ = 10–90°):
hkl 1 1 1, 2θ = 24.08°, I = 328
hkl 0 4 1, 2θ = 24.72°, I = 561
hkl 0 2 2, 2θ = 26.02°, I = 280
hkl 1 3 1, 2θ = 28.64°, I = 1000
hkl 1 1 2, 2θ = 31.76°, I = 695
hkl 1 5 0, 2θ = 34.12°, I = 508
hkl 1 3 2, 2θ = 35.43°, I = 467
hkl 1 5 1, 2θ = 36.20°, I = 349
hkl 0 2 3, 2θ = 37.44°, I = 346
hkl 2 0 0, 2θ = 41.12°, I = 387



Record 4
Structure and calculated powder diffraction line list of Cd2As3PPd2 (a DFT-relaxed cell (GGA-PBE, OQMD); Cu Kα (weighted mean of Kα1 and Kα2)).

Cell and atoms:
Unit cell a=12.845 b=5.872 c=5.863 alpha=90.00 beta=116.65 gamma=90.00
Space group C2 (No. 5)
Unique sites:
Cd 0.119 0.000 0.359 (multiplicity 4)
As 0.000 0.695 0.500 (multiplicity 2)
As 0.250 0.236 0.790 (multiplicity 4)
P 0.000 0.286 0.000 (multiplicity 2)
Pd 0.121 0.481 0.880 (multiplicity 4)

Main lines, low angle first (2θ = 10–90°):
hkl 1 1 1, 2θ = 26.43°, I = 899
hkl 3 1 -1, 2θ = 26.59°, I = 1000
hkl 2 2 -2, 2θ = 43.63°, I = 411
hkl 2 0 2, 2θ = 43.95°, I = 210
hkl 4 2 0, 2θ = 44.13°, I = 421
hkl 6 0 -2, 2θ = 44.37°, I = 206
hkl 1 3 1, 2θ = 51.69°, I = 298
hkl 5 1 -3, 2θ = 51.95°, I = 123
hkl 5 1 1, 2θ = 52.54°, I = 146
hkl 7 1 -1, 2θ = 52.81°, I = 133